# 1
Theoretical powder X-ray diffraction pattern
Compound: CsSn2Te2
Radiation: Cu Kα (λ = 1.5418 Å)
Structure: DFT lattice parameters and positions (PBE)

Structure:
```
data_CsSn2Te2
_chemical_formula_sum 'Cs4 Sn8 Te8'
_space_group_name_H-M_alt 'C 1 2/c 1'
_space_group_IT_number 15
_cell_length_a 10.6372
_cell_length_b 13.8506
_cell_length_c 7.9747
_cell_angle_alpha 90.00
_cell_angle_beta 131.37
_cell_angle_gamma 90.00
loop_
_space_group_symop_operation_xyz
'x,y,z'
'-x,-y,-z'
'-x,y,-z+1/2'
'x,-y,z+1/2'
'x+1/2,y+1/2,z'
'-x+1/2,-y+1/2,-z'
'-x+1/2,y+1/2,-z+1/2'
'x+1/2,-y+1/2,z+1/2'
loop_
_atom_site_label
_atom_site_type_symbol
_atom_site_fract_x
_atom_site_fract_y
_atom_site_fract_z
Cs1 Cs 0.0000 0.1252 0.2500
Sn1 Sn 0.1237 0.3745 0.9955
Te1 Te 0.0000 0.1576 0.7500
Te2 Te 0.0000 0.4082 0.2500
```

Top 6 peaks for 10 to 90 degrees two-theta, by angle:
2θ (°)  intensity
22.3  82
22.5  73
25.7  100
33.7  66
34.3  61
42.9  51

# 2
Theoretical powder X-ray diffraction pattern
Compound: CsSn3Te3
Radiation: Cu Kα (λ = 1.5418 Å)
Structure: DFT lattice parameters and positions (PBE)

Structure:
```
data_CsSn3Te3
_chemical_formula_sum 'Cs2 Sn6 Te6'
_space_group_name_H-M_alt 'P m -3 n'
_space_group_IT_number 223
_space_group_name_Hall '-P 4n 2 3'
_cell_length_a 8.7624
_cell_length_b 8.7624
_cell_length_c 8.7624
_cell_angle_alpha 90.00
_cell_angle_beta 90.00
_cell_angle_gamma 90.00
loop_
_atom_site_label
_atom_site_type_symbol
_atom_site_fract_x
_atom_site_fract_y
_atom_site_fract_z
Cs1 Cs 0.0000 0.0000 0.0000
Sn1 Sn 0.0000 0.2500 0.5000
Te1 Te 0.0000 0.5000 0.2500
```

Top 6 peaks for 10 to 90 degrees two-theta, by angle:
2θ (°)  intensity
20.3  41
24.9  100
35.5  35
38.4  64
41.2  35
59.7  24